Starting from a GGA-PBE-relaxed structure, the X-ray diffraction stick pattern of GdErSi2Mo2C was computed for λ = 1.5418 Å (Cu Kα).
Intensities are scaled so that the largest is 100.

Lattice parameters (Å, degrees): 11.146 3.813 7.149 90.00 125.64 90.00
Space group Cm (No. 8)
Symmetry-distinct sites (fractional):
Gd1 0.000 0.000 0.000
Er1 0.150 0.000 0.591
Si1 0.207 0.500 0.960
Si2 0.444 0.000 0.632
Mo1 0.282 0.500 0.382
Mo2 0.370 0.000 0.214
C1 0.077 0.500 0.301

The 10 most intense peaks (10 to 80 degrees two-theta), in order of rising 2θ:
d/Å  two_theta  I/Imax  (hkl)
3.565  24.98  21.1  2 0 -2
3.515  25.34  25.9  1 1 0
2.855  31.33  45.0  2 0 1
2.745  32.62  16.8  1 1 1
2.711  33.05  31.6  4 0 -1
2.657  33.73  89.1  3 1 -1
2.539  35.36  100.0  1 1 -2
2.259  39.90  30.2  4 0 -3
1.907  47.68  40.2  0 2 0
1.586  58.18  15.5  2 2 1